Structure and calculated XRD peak list of Ti3V2P6WO24 (a PBE+U-relaxed structure; Cu Kα X-rays).
Peak positions follow from Bragg's law for the DFT cell and can differ from measured ones.

Atomic structure:
Cell lengths 8.7125, 8.7125, 21.2317 Å; angles 90.00, 90.00, 120.00 degrees
Space group R3 (No. 146, hexagonal axes)
Asymmetric unit:
Ti 0.0000 0.0000 0.0000 [3 per cell]
Ti 0.0000 0.0000 0.2084 [3 per cell]
Ti 0.0000 0.0000 0.5006 [3 per cell]
V 0.0000 0.0000 0.3528 [3 per cell]
V 0.0000 0.0000 0.8583 [3 per cell]
P 0.0068 0.7117 0.1051 [9 per cell]
P 0.0362 0.3689 0.2710 [9 per cell]
W 0.0000 0.0000 0.7142 [3 per cell]
O 0.0063 0.1764 0.2728 [9 per cell]
O 0.0223 0.8273 0.7828 [9 per cell]
O 0.0230 0.8245 0.1631 [9 per cell]
O 0.1290 0.4540 0.3319 [9 per cell]
O 0.1420 0.6707 0.7115 [9 per cell]
O 0.1429 0.4751 0.2123 [9 per cell]
O 0.1699 0.4830 0.5988 [9 per cell]
O 0.1725 0.6894 0.0982 [9 per cell]

Top 8 peaks for 2θ = 5–70°, sorted by position:
| d (Å) | Rel. int. | index |
| --- | --- | --- |
| 7.101 | 32 | 0 0 3 |
| 4.353 | 100 | 1 1 0 |
| 3.709 | 85 | 1 1 3 |
| 2.747 | 62 | 2 -1 6 |
| 2.514 | 41 | 3 0 0 |
| 1.943 | 24 | 3 -2 8 |
| 1.855 | 23 | 4 -2 6 |
| 1.646 | 24 | 4 1 0 |